No. 1
Structure and simulated powder XRD pattern of YEr2Tm5 (the GGA-PBE geometry in Alexandria; copper Kα).
Intensities are scaled so that the largest is 100.

Largest 10 diffraction maxima, low angle first, 5° ≤ 2θ ≤ 70°:
| 2θ (°) | I/Imax |
| --- | --- |
| 28.8 | 45 |
| 29.4 | 36 |
| 30.0 | 65 |
| 30.9 | 100 |
| 31.3 | 66 |
| 31.5 | 44 |
| 32.0 | 52 |
| 32.7 | 77 |
| 33.0 | 80 |
| 34.0 | 40 |

Structural model:
```
YEr2Tm5
1.0
6.3676 0.0000 0.0000
-2.8227 8.9804 0.0000
-2.1353 -3.6557 8.6965
Y Er Tm
2 4 10
Cartesian
-0.8579 2.1158 4.2286 Y
2.2675 3.2088 4.4679 Y
-2.8737 5.4323 6.9794 Er
1.2630 1.8213 1.3745 Er
0.1466 3.5034 7.3220 Er
4.2833 -0.1077 1.7171 Er
-3.2390 6.1511 3.4886 Tm
-2.9633 1.5897 7.1889 Tm
-1.6411 7.3401 1.0244 Tm
0.3317 0.0613 7.3856 Tm
-0.2525 5.4966 4.4738 Tm
1.6620 -0.1719 4.2227 Tm
1.0779 5.2634 1.3109 Tm
3.0507 -2.0154 7.6721 Tm
4.3729 3.7349 1.5076 Tm
4.6486 -0.8264 5.2079 Tm
```

No. 2
Structure and simulated powder XRD pattern of NaAlC2 (the GGA-PBE geometry in Alexandria; copper Kα).
Intensities are scaled so that the largest is 100.

Largest 10 diffraction maxima, low angle first, 5° ≤ 2θ ≤ 70°:
| 2θ (°) | I/Imax |
| --- | --- |
| 22.2 | 23 |
| 27.5 | 13 |
| 29.6 | 5 |
| 33.1 | 100 |
| 43.0 | 23 |
| 45.3 | 5 |
| 51.8 | 26 |
| 52.3 | 26 |
| 56.7 | 9 |
| 69.5 | 18 |

Structural model:
```
NaAlC2
1.0
4.2078 0.0000 0.0000
0.0000 4.2078 0.0000
0.0000 0.0000 12.9795
Na Al C
4 4 8
Cartesian
0.0000 1.0519 4.8673 Na
0.0000 3.1558 8.1122 Na
2.1039 1.0519 1.6224 Na
2.1039 3.1558 11.3570 Na
0.0000 1.0519 11.3570 Al
0.0000 3.1558 1.6224 Al
2.1039 1.0519 8.1122 Al
2.1039 3.1558 4.8673 Al
0.0000 0.0000 0.0000 C
0.0000 2.1039 0.0000 C
1.0519 1.0519 9.7346 C
1.0519 3.1558 3.2449 C
2.1039 0.0000 6.4897 C
2.1039 2.1039 6.4897 C
3.1558 1.0519 9.7346 C
3.1558 3.1558 3.2449 C
```

No. 3
Structure and simulated powder XRD pattern of ZrBe17Re (the GGA-PBE geometry in Alexandria; copper Kα).
Intensities are scaled so that the largest is 100.

Largest 10 diffraction maxima, low angle first, 5° ≤ 2θ ≤ 70°:
| 2θ (°) | I/Imax |
| --- | --- |
| 16.1 | 92 |
| 21.6 | 37 |
| 24.1 | 100 |
| 24.9 | 31 |
| 29.2 | 26 |
| 34.9 | 91 |
| 38.2 | 25 |
| 42.4 | 32 |
| 49.4 | 24 |
| 49.8 | 45 |

Structural model:
```
ZrBe17Re
1.0
3.6907 2.1308 3.5737
-3.6907 2.1308 3.5737
0.0000 -4.2616 3.5737
Zr Be Re
1 17 1
Cartesian
0.0000 0.0000 0.0000 Zr
0.0000 -2.0623 1.8385 Be
-1.7860 1.0312 1.8385 Be
-1.8678 -1.0784 5.2942 Be
0.0000 -2.1210 5.1588 Be
-1.8368 1.0605 5.1588 Be
-1.0596 -1.9150 7.0714 Be
-2.1883 0.0399 7.0714 Be
1.7860 1.0312 1.8385 Be
0.0000 0.0000 5.9655 Be
1.0596 -1.9150 7.0714 Be
-1.1287 1.8751 7.0714 Be
1.8678 -1.0784 5.2942 Be
0.0000 2.1567 5.2942 Be
0.0000 0.0000 8.0761 Be
1.8368 1.0605 5.1588 Be
2.1883 0.0399 7.0714 Be
1.1287 1.8751 7.0714 Be
0.0000 0.0000 3.4306 Re
```

No. 4
Structure and simulated powder XRD pattern of KBaPuN3 (the GGA-PBE geometry in Alexandria; copper Kα).
Intensities are scaled so that the largest is 100.

Largest 10 diffraction maxima, low angle first, 5° ≤ 2θ ≤ 70°:
| 2θ (°) | I/Imax |
| --- | --- |
| 15.7 | 100 |
| 20.3 | 22 |
| 27.9 | 83 |
| 28.6 | 51 |
| 30.4 | 84 |
| 30.6 | 40 |
| 31.2 | 23 |
| 38.5 | 26 |
| 48.5 | 21 |
| 63.3 | 20 |

Structural model:
```
KBaPuN3
1.0
3.1711 -6.5855 0.0000
3.1711 6.5855 0.0000
-0.9991 0.0000 5.8425
K Ba Pu N
2 2 2 6
Cartesian
2.4218 5.6462 4.3819 K
2.9214 -5.6462 1.4606 K
2.9214 3.1561 1.4606 Ba
2.4218 -3.1561 4.3819 Ba
2.4218 0.8559 4.3819 Pu
2.9214 -0.8559 1.4606 Pu
1.0598 0.7296 5.8041 N
2.4218 2.8964 4.3819 N
1.5594 -0.7296 2.8828 N
3.7837 0.7296 2.9597 N
2.9214 -2.8964 1.4606 N
4.2833 -0.7296 0.0384 N
```